For H2Os, a structure optimized by DFT (PBE) gives the theoretical X-ray powder pattern in this record (Cu Ka).
No peak broadening, texture or thermal motion is included.

Largest 6 diffraction maxima, sorted by position, 2θ = 10–80°:
d_spacing, two_theta, Rel. int.
2.815, 31.79, 86
2.324, 38.74, 100
1.991, 45.57, 32
1.512, 61.31, 54
1.276, 74.33, 15
1.259, 75.52, 15

Crystal structure
Lattice parameters (Å, degrees): 3.9813 3.9813 2.8631 90.00 90.00 90.00
Element x y z (fractional)
1 H 0.1904 0.1904 0.0000
2 H 0.3096 0.6904 0.5000
3 H 0.6904 0.3096 0.5000
4 H 0.8096 0.8096 0.0000
5 Os 0.0000 0.0000 0.5000
6 Os 0.5000 0.5000 0.0000